# SmY3Tl
Simulated powder X-ray diffraction pattern, copper Kα. Input: a GGA-PBE-relaxed structure.
No peak broadening, texture or thermal motion is included.

Crystal structure
a = 4.882 Å, b = 25.397 Å, c = 4.868 Å
α = 90.00°, β = 90.00°, γ = 90.00°
Space group Cmcm (No. 63)
Asymmetric unit:
Sm  0.000  0.149  0.250 x4
Y  0.000  0.049  0.750 x4
Y  0.000  0.250  0.750 x4
Y  0.000  0.447  0.750 x4
Tl  0.000  0.347  0.250 x4

Most intense lines, 2θ from 15° to 90°, in order of rising 2θ:
| hkl | Position (°2θ) | I_rel |
| --- | --- | --- |
| 1 5 1 | 31.36 | 100 |
| 0 10 0 | 35.34 | 18 |
| 2 0 0 | 36.82 | 17 |
| 0 0 2 | 36.93 | 16 |
| 2 10 0 | 52.00 | 24 |
| 1 15 1 | 60.97 | 14 |
| 3 5 1 | 62.94 | 13 |
| 1 5 3 | 63.08 | 13 |

# Sm3Y3Tl
Simulated powder X-ray diffraction pattern, copper Kα. Input: a GGA-PBE-relaxed structure.
No peak broadening, texture or thermal motion is included.

Crystal structure
a = 9.508 Å, b = 5.630 Å, c = 9.513 Å
α = 90.00°, β = 119.97°, γ = 90.00°
Space group P2_1/m (No. 11)
Asymmetric unit:
Sm  0.020  0.250  0.392 x2
Sm  0.128  0.750  0.021 x2
Sm  0.393  0.750  0.872 x2
Y  0.259  0.750  0.437 x2
Y  0.323  0.250  0.260 x2
Y  0.436  0.250  0.677 x2
Tl  0.167  0.250  0.834 x2

Most intense lines, 2θ from 15° to 90°, in order of rising 2θ:
| hkl | Position (°2θ) | I_rel |
| --- | --- | --- |
| 3 0 -1 | 28.67 | 24 |
| 0 2 0 | 31.79 | 24 |
| 1 1 2 | 32.87 | 100 |
| 3 2 -1 | 43.33 | 15 |
| 4 0 1 | 50.79 | 18 |
| 1 3 2 | 57.33 | 20 |
| 4 2 1 | 61.17 | 21 |
| 6 1 -2 | 61.83 | 15 |